Theoretical powder diffraction line list of MnNb2S4 for Cu Ka, from a PBE-relaxed structure.
Intensities are scaled so that the largest is 100.

The 8 most intense peaks (2θ from 15° to 90°), sorted by position:
| 2θ/deg | I_rel |
| --- | --- |
| 28.06 | 87.5 |
| 31.00 | 100.0 |
| 31.26 | 96.2 |
| 37.56 | 88.1 |
| 39.26 | 65.4 |
| 41.93 | 92.8 |
| 44.63 | 85.7 |
| 54.64 | 94.7 |

Cell and atoms:
Lattice parameters (Å, degrees): 10.907 3.361 13.121 90.00 90.00 90.00
Positions (direct):
Mn (0.248, 0.250, 0.161)
Mn (0.252, 0.750, 0.661)
Mn (0.748, 0.250, 0.339)
Mn (0.752, 0.750, 0.839)
Nb (0.042, 0.750, 0.417)
Nb (0.114, 0.750, 0.898)
Nb (0.386, 0.250, 0.398)
Nb (0.458, 0.250, 0.917)
Nb (0.542, 0.750, 0.083)
Nb (0.614, 0.750, 0.602)
Nb (0.886, 0.250, 0.102)
Nb (0.958, 0.250, 0.583)
S (0.032, 0.750, 0.711)
S (0.061, 0.750, 0.087)
S (0.175, 0.250, 0.508)
S (0.244, 0.750, 0.310)
S (0.256, 0.250, 0.810)
S (0.325, 0.750, 0.008)
S (0.439, 0.250, 0.587)
S (0.468, 0.250, 0.211)
S (0.532, 0.750, 0.789)
S (0.561, 0.750, 0.413)
S (0.675, 0.250, 0.992)
S (0.744, 0.750, 0.190)
S (0.756, 0.250, 0.690)
S (0.825, 0.750, 0.492)
S (0.939, 0.250, 0.913)
S (0.968, 0.250, 0.289)

=====

Theoretical powder diffraction line list of MnNb2S4 for Cu Ka, from a PBE-relaxed structure.
Intensities are scaled so that the largest is 100.

The 8 most intense peaks (2θ from 15° to 90°), sorted by position:
| 2θ/deg | I_rel |
| --- | --- |
| 22.15 | 38.9 |
| 28.91 | 27.5 |
| 33.66 | 48.3 |
| 34.95 | 100.0 |
| 37.00 | 34.9 |
| 43.31 | 51.4 |
| 51.11 | 39.6 |
| 54.98 | 28.0 |

Cell and atoms:
Lattice parameters (Å, degrees): 9.137 3.340 16.805 90.00 90.00 90.00
Positions (direct):
Mn (0.189, 0.250, 0.212)
Mn (0.311, 0.750, 0.712)
Mn (0.689, 0.250, 0.288)
Mn (0.811, 0.750, 0.788)
Nb (0.002, 0.750, 0.428)
Nb (0.122, 0.750, 0.970)
Nb (0.378, 0.250, 0.470)
Nb (0.498, 0.250, 0.928)
Nb (0.502, 0.750, 0.072)
Nb (0.622, 0.750, 0.530)
Nb (0.878, 0.250, 0.030)
Nb (0.998, 0.250, 0.572)
S (0.022, 0.750, 0.108)
S (0.130, 0.250, 0.708)
S (0.171, 0.250, 0.360)
S (0.194, 0.750, 0.535)
S (0.306, 0.250, 0.035)
S (0.329, 0.750, 0.860)
S (0.370, 0.750, 0.208)
S (0.478, 0.250, 0.608)
S (0.522, 0.750, 0.392)
S (0.630, 0.250, 0.792)
S (0.671, 0.250, 0.140)
S (0.694, 0.750, 0.965)
S (0.806, 0.250, 0.465)
S (0.829, 0.750, 0.640)
S (0.870, 0.750, 0.292)
S (0.978, 0.250, 0.892)